Diffraction record for NbFeO4. The XRD peak list is calculated, not measured: it uses a cell relaxed with PBE+U and λ = 1.5418 Å (Cu Kα).
Lines closer than 0.1° are merged.

Peak list (10 most intense, 2θ from 10° to 80°, low angle first)
two_theta, I/Imax
14.25, 62
22.77, 82
25.37, 61
29.22, 33
33.93, 100
34.78, 51
47.47, 25
54.30, 26
57.70, 22
60.59, 41

Atomic structure:
```
NbFeO4
1.0
6.216 0.000 0.000
0.000 6.216 0.000
0.000 0.000 8.506
Nb Fe O
4 4 16
Cartesian
0.000 1.825 0.000
0.000 4.391 4.253
1.825 0.000 2.127
4.391 0.000 6.380
1.458 1.458 5.316
1.458 4.758 7.443
4.758 1.458 3.190
4.758 4.758 1.063
0.044 1.372 1.973
0.044 4.844 2.280
1.372 0.044 0.154
1.374 3.069 8.274
1.374 3.147 4.485
1.372 6.172 4.099
3.069 1.374 2.358
3.069 4.842 1.895
3.147 1.374 6.148
3.147 4.842 6.611
4.844 0.044 8.352
4.842 3.069 0.232
4.842 3.147 4.021
4.844 6.172 4.407
6.172 1.372 6.534
6.172 4.844 6.226
```